Starting from a DFT-relaxed cell (GGA-PBE, Alexandria), the X-ray powder pattern of Na3PmF6 was simulated for Cu Kα (λ = 1.5418 Å).
Intensities are scaled so that the largest is 100.

Crystal structure
Lattice parameters (Å, degrees): 6.1616 11.8511 4.0341 90.00 90.00 90.00
Positions (direct):
Na  0.0000  0.0000  0.0000
Na  0.0631  0.2396  0.5000
Na  0.4369  0.7396  0.0000
Na  0.5000  0.5000  0.5000
Na  0.5631  0.2604  0.0000
Na  0.9369  0.7604  0.5000
Pm  0.0000  0.5000  0.0000
Pm  0.5000  0.0000  0.5000
F  0.0610  0.6999  0.0000
F  0.1580  0.9154  0.5000
F  0.1685  0.5623  0.5000
F  0.3315  0.0623  0.0000
F  0.3420  0.4154  0.0000
F  0.4390  0.1999  0.5000
F  0.5610  0.8001  0.5000
F  0.6580  0.5846  0.0000
F  0.6685  0.9377  0.0000
F  0.8315  0.4377  0.5000
F  0.8420  0.0846  0.5000
F  0.9390  0.3001  0.0000

Principal peaks in the range 15 to 90 degrees two-theta, in order of falling intensity:
2θ (°)	intensity
16.2	100
30.5	67
53.8	47
23.3	46
30.2	29
29.0	29
37.5	28
26.4	27
52.3	27
40.5	27
42.3	25
44.9	24

---

Starting from a DFT-relaxed cell (GGA-PBE, Alexandria), the X-ray powder pattern of RbNa2PmF6 was simulated for Cu Kα (λ = 1.5418 Å).
Intensities are scaled so that the largest is 100.

Crystal structure
Lattice parameters (Å, degrees): 6.4543 6.4543 6.4543 56.84 56.84 56.84
Positions (direct):
Rb  0.0000  0.0000  0.0000
Na  0.2703  0.2703  0.2703
Na  0.7796  0.7796  0.7796
Pm  0.4797  0.4797  0.4797
F  0.0836  0.6018  0.4578
F  0.1912  0.5398  0.8721
F  0.4578  0.0836  0.6018
F  0.5398  0.8721  0.1912
F  0.6018  0.4578  0.0836
F  0.8721  0.1912  0.5398

Principal peaks in the range 15 to 90 degrees two-theta, in order of falling intensity:
2θ (°)	intensity
20.0	100
27.7	78
29.1	62
44.7	43
50.7	37
40.6	35
35.5	32
51.5	27
17.5	23
46.5	20
33.6	18
48.1	13

---

Starting from a DFT-relaxed cell (GGA-PBE, Alexandria), the X-ray powder pattern of Na2PmScF8 was simulated for Cu Kα (λ = 1.5418 Å).
Intensities are scaled so that the largest is 100.

Crystal structure
Lattice parameters (Å, degrees): 3.8049 5.5503 7.5319 90.00 90.00 90.00
Positions (direct):
Na  0.0000  0.0000  0.2325
Na  0.0000  0.0000  0.7675
Pm  0.5000  0.5000  0.5000
Sc  0.5000  0.5000  0.0000
F  0.0000  0.2569  0.5000
F  0.0000  0.2855  0.0000
F  0.0000  0.7145  0.0000
F  0.0000  0.7431  0.5000
F  0.5000  0.2735  0.2318
F  0.5000  0.2735  0.7682
F  0.5000  0.7265  0.2318
F  0.5000  0.7265  0.7682

Principal peaks in the range 15 to 90 degrees two-theta, in order of falling intensity:
2θ (°)	intensity
47.2	100
28.4	85
28.6	81
16.0	81
19.9	32
56.7	26
47.8	25
23.6	25
30.9	24
23.4	24
48.3	23
57.0	22

---

Starting from a DFT-relaxed cell (GGA-PBE, Alexandria), the X-ray powder pattern of Na2PmTiF8 was simulated for Cu Kα (λ = 1.5418 Å).
Intensities are scaled so that the largest is 100.

Crystal structure
Lattice parameters (Å, degrees): 3.7692 5.5354 7.4767 90.00 90.00 90.00
Positions (direct):
Na  0.0000  0.0000  0.2297
Na  0.0000  0.0000  0.7703
Pm  0.5000  0.5000  0.5000
Ti  0.5000  0.5000  0.0000
F  0.0000  0.2543  0.5000
F  0.0000  0.2912  0.0000
F  0.0000  0.7088  0.0000
F  0.0000  0.7457  0.5000
F  0.5000  0.2758  0.2284
F  0.5000  0.2758  0.7716
F  0.5000  0.7242  0.2284
F  0.5000  0.7242  0.7716

Principal peaks in the range 15 to 90 degrees two-theta, in order of falling intensity:
2θ (°)	intensity
47.5	100
28.7	87
16.0	87
28.8	83
20.0	30
23.8	26
55.5	25
48.3	25
23.6	25
31.1	23
57.2	23
48.7	22

---

Starting from a DFT-relaxed cell (GGA-PBE, Alexandria), the X-ray powder pattern of NaPmTl2F6 was simulated for Cu Kα (λ = 1.5418 Å).
Intensities are scaled so that the largest is 100.

Crystal structure
Lattice parameters (Å, degrees): 6.4181 6.4559 11.1039 90.00 125.08 90.00
Positions (direct):
Na  0.0000  0.0000  0.0000
Na  0.0000  0.5000  0.5000
Pm  0.5000  0.0000  0.5000
Pm  0.5000  0.5000  0.0000
Tl  0.2422  0.0274  0.7488
Tl  0.2422  0.4726  0.2488
Tl  0.7578  0.5274  0.7512
Tl  0.7578  0.9726  0.2512
F  0.1834  0.2089  0.4640
F  0.1834  0.2911  0.9640
F  0.2522  0.7205  0.4604
F  0.2522  0.7795  0.9604
F  0.3279  0.0195  0.2552
F  0.3279  0.4805  0.7552
F  0.6721  0.5195  0.2448
F  0.6721  0.9805  0.7448
F  0.7478  0.2205  0.0396
F  0.7478  0.2795  0.5396
F  0.8166  0.7089  0.0360
F  0.8166  0.7911  0.5360

Principal peaks in the range 15 to 90 degrees two-theta, in order of falling intensity:
2θ (°)	intensity
27.7	100
27.8	100
39.6	58
49.0	40
19.5	30
16.9	26
48.9	26
49.2	24
34.1	21
64.9	18
57.4	17
78.7	14

---

Starting from a DFT-relaxed cell (GGA-PBE, Alexandria), the X-ray powder pattern of NaPrF4 was simulated for Cu Kα (λ = 1.5418 Å).
Intensities are scaled so that the largest is 100.

Crystal structure
Lattice parameters (Å, degrees): 6.1994 7.2348 7.2426 62.99 64.79 64.83
Positions (direct):
Na  0.0000  0.0000  0.0000
Na  0.0037  0.4774  0.4855
Na  0.6678  0.4336  0.2153
Pr  0.3345  0.5015  0.8180
Pr  0.3402  0.0003  0.3103
Pr  0.6741  0.9236  0.7202
F  0.0917  0.2445  0.0568
F  0.0925  0.7350  0.5443
F  0.3122  0.8905  0.6964
F  0.3178  0.3819  0.1974
F  0.3752  0.2819  0.6295
F  0.3845  0.8229  0.0813
F  0.5942  0.6250  0.4429
F  0.6160  0.1319  0.9369
F  0.7008  0.5464  0.8119
F  0.7044  0.0066  0.3443
F  0.9291  0.7110  0.9695
F  0.9333  0.1671  0.5069

Principal peaks in the range 15 to 90 degrees two-theta, in order of falling intensity:
2θ (°)	intensity
28.9	100
16.5	80
28.9	65
51.2	43
41.3	41
51.1	39
41.2	35
51.3	29
48.1	13
18.5	13
57.1	13
37.5	12

---

Starting from a DFT-relaxed cell (GGA-PBE, Alexandria), the X-ray powder pattern of Na2PrF4 was simulated for Cu Kα (λ = 1.5418 Å).
Intensities are scaled so that the largest is 100.

Crystal structure
Lattice parameters (Å, degrees): 7.1102 7.1102 7.1102 124.71 119.25 86.67
Positions (direct):
Na  0.0000  0.0000  0.0000
Na  0.3747  0.6247  0.7500
Na  0.5000  0.0000  0.5000
Na  0.6253  0.3753  0.2500
Pr  0.0000  0.0000  0.5000
Pr  0.0000  0.5000  0.0000
F  0.2275  0.2083  0.4808
F  0.2275  0.7467  0.0192
F  0.2355  0.2253  0.0102
F  0.2849  0.7747  0.5102
F  0.7151  0.2253  0.4898
F  0.7645  0.7747  0.9898
F  0.7725  0.2533  0.9808
F  0.7725  0.7917  0.5192

Principal peaks in the range 15 to 90 degrees two-theta, in order of falling intensity:
2θ (°)	intensity
15.0	100
31.1	60
37.0	32
51.6	31
17.1	31
28.7	26
24.8	19
34.7	17
47.7	16
41.0	14
39.8	13
45.6	12

---

Starting from a DFT-relaxed cell (GGA-PBE, Alexandria), the X-ray powder pattern of Na2PrF6 was simulated for Cu Kα (λ = 1.5418 Å).
Intensities are scaled so that the largest is 100.

Crystal structure
Lattice parameters (Å, degrees): 7.4870 7.4870 7.4870 145.89 145.89 49.02
Positions (direct):
Na  0.2500  0.7500  0.5000
Na  0.7500  0.2500  0.5000
Pr  0.0000  0.0000  0.0000
F  0.0831  0.5831  0.5000
F  0.1999  0.1999  0.0000
F  0.4169  0.9169  0.5000
F  0.5831  0.0831  0.5000
F  0.8001  0.8001  0.0000
F  0.9169  0.4169  0.5000

Principal peaks in the range 15 to 90 degrees two-theta, in order of falling intensity:
2θ (°)	intensity
21.3	100
41.1	35
49.7	32
38.9	29
46.7	24
28.3	24
31.7	21
39.3	17
57.9	17
26.2	17
81.2	13
49.4	12